The following is a computed powder XRD pattern of Rb2SrV4O12. It was derived from a GGA+U-relaxed structure, using CuKα.

Principal peaks in the range 2θ = 10–80°, most intense first:
3.239 Å, I = 100.0, hkl 2 2 1
2.813 Å, I = 30.4, hkl 4 0 0
4.568 Å, I = 26.5, hkl 1 1 1
1.695 Å, I = 22.0, hkl 6 2 1
1.989 Å, I = 13.8, hkl 4 4 0
1.981 Å, I = 13.3, hkl 4 0 2
1.685 Å, I = 12.5, hkl 2 2 3
2.790 Å, I = 11.0, hkl 0 0 2
1.620 Å, I = 11.0, hkl 4 4 2
2.196 Å, I = 10.1, hkl 3 1 2
2.514 Å, I = 8.6, hkl 4 0 1
1.286 Å, I = 8.6, hkl 6 2 3

Cell and atoms:
```
data_Rb2SrV4O12
_chemical_formula_sum 'Rb4 Sr2 V8 O24'
_space_group_name_H-M_alt 'P 4/n b m'
_space_group_IT_number 125
_cell_length_a 11.253
_cell_length_b 11.253
_cell_length_c 5.580
_cell_angle_alpha 90.00
_cell_angle_beta 90.00
_cell_angle_gamma 90.00
loop_
_space_group_symop_operation_xyz
'x,y,z'
'-x,-y,-z'
'-y+1/2,x,z'
'y+1/2,-x,-z'
'-x+1/2,-y+1/2,z'
'x+1/2,y+1/2,-z'
'y,-x+1/2,z'
'-y,x+1/2,-z'
'x,-y+1/2,-z'
'-x,y+1/2,z'
'-y+1/2,-x+1/2,-z'
'y+1/2,x+1/2,z'
'-x+1/2,y,-z'
'x+1/2,-y,z'
'y,x,-z'
'-y,-x,z'
loop_
_atom_site_label
_atom_site_type_symbol
_atom_site_fract_x
_atom_site_fract_y
_atom_site_fract_z
Rb1 Rb 0.000 0.000 0.000
Sr1 Sr 0.250 0.250 0.000
V1 V 0.029 0.750 0.500
O1 O 0.056 0.220 0.260
O2 O 0.122 0.622 0.569
```